Record 1
Calculated X-ray diffraction stick pattern
Compound: TmMgAu2
Radiation: Cu Kα X-rays
Structure: a GGA-PBE-relaxed structure
No peak broadening, texture or thermal motion is included.

The 6 most intense peaks (2θ = 5–70°), in order of rising 2θ:
2θ (°)	I_rel
22.4	137
25.9	144
36.9	1000
43.6	73
53.2	177
66.5	363

Structure:
Unit cell a=6.8855 b=6.8855 c=6.8855 alpha=90.00 beta=90.00 gamma=90.00
Fractional positions:
1 Tm 0.0000 0.0000 0.0000
2 Tm 0.0000 0.5000 0.5000
3 Tm 0.5000 0.0000 0.5000
4 Tm 0.5000 0.5000 0.0000
5 Mg 0.0000 0.0000 0.5000
6 Mg 0.0000 0.5000 0.0000
7 Mg 0.5000 0.0000 0.0000
8 Mg 0.5000 0.5000 0.5000
9 Au 0.2500 0.2500 0.2500
10 Au 0.2500 0.2500 0.7500
11 Au 0.2500 0.7500 0.2500
12 Au 0.2500 0.7500 0.7500
13 Au 0.7500 0.2500 0.2500
14 Au 0.7500 0.2500 0.7500
15 Au 0.7500 0.7500 0.2500
16 Au 0.7500 0.7500 0.7500

=====

Record 2
Calculated X-ray diffraction stick pattern
Compound: MnAu2
Radiation: Cu Kα X-rays
Structure: a GGA-PBE-relaxed structure
No peak broadening, texture or thermal motion is included.

The 6 most intense peaks (2θ = 5–70°), in order of rising 2θ:
2θ (°)	I_rel
20.0	85
28.1	311
37.5	626
40.4	1000
54.0	218
69.6	404

Structure:
Unit cell a=3.3948 b=3.3948 c=8.8806 alpha=90.00 beta=90.00 gamma=90.00
Fractional positions:
1 Mn 0.0000 0.0000 0.0000
2 Mn 0.5000 0.5000 0.5000
3 Au 0.0000 0.0000 0.3403
4 Au 0.0000 0.0000 0.6597
5 Au 0.5000 0.5000 0.1597
6 Au 0.5000 0.5000 0.8403

=====

Record 3
Calculated X-ray diffraction stick pattern
Compound: MnAu4
Radiation: Cu Kα X-rays
Structure: a GGA-PBE-relaxed structure
No peak broadening, texture or thermal motion is included.

The 6 most intense peaks (2θ = 5–70°), in order of rising 2θ:
2θ (°)	I_rel
25.8	78
37.9	1000
43.7	340
44.6	154
63.5	108
64.2	218

Structure:
Unit cell a=6.5479 b=6.5479 c=4.0627 alpha=90.00 beta=90.00 gamma=90.00
Fractional positions:
1 Mn 0.0000 0.0000 0.0000
2 Mn 0.5000 0.5000 0.5000
3 Au 0.1025 0.2957 0.5000
4 Au 0.2043 0.6025 0.0000
5 Au 0.2957 0.8975 0.5000
6 Au 0.3975 0.2043 0.0000
7 Au 0.6025 0.7957 0.0000
8 Au 0.7043 0.1025 0.5000
9 Au 0.7957 0.3975 0.0000
10 Au 0.8975 0.7043 0.5000

=====

Record 4
Calculated X-ray diffraction stick pattern
Compound: MnAu4
Radiation: Cu Kα X-rays
Structure: a GGA-PBE-relaxed structure
No peak broadening, texture or thermal motion is included.

The 6 most intense peaks (2θ = 5–70°), in order of rising 2θ:
2θ (°)	I_rel
7.8	133
37.0	1000
39.6	246
43.8	600
61.9	229
65.4	152

Structure:
Unit cell a=2.9989 b=2.9989 c=34.1705 alpha=90.00 beta=90.00 gamma=120.00
Fractional positions:
1 Mn 0.0000 0.0000 0.0000
2 Mn 0.3333 0.6667 0.6667
3 Mn 0.6667 0.3333 0.3333
4 Au 0.0000 0.0000 0.2017
5 Au 0.0000 0.0000 0.3945
6 Au 0.0000 0.0000 0.6055
7 Au 0.0000 0.0000 0.7983
8 Au 0.3333 0.6667 0.0612
9 Au 0.3333 0.6667 0.2721
10 Au 0.3333 0.6667 0.4650
11 Au 0.3333 0.6667 0.8684
12 Au 0.6667 0.3333 0.1316
13 Au 0.6667 0.3333 0.5350
14 Au 0.6667 0.3333 0.7279
15 Au 0.6667 0.3333 0.9388

=====

Record 5
Calculated X-ray diffraction stick pattern
Compound: MnAu3
Radiation: Cu Kα X-rays
Structure: a GGA-PBE-relaxed structure
No peak broadening, texture or thermal motion is included.

The 6 most intense peaks (2θ = 5–70°), in order of rising 2θ:
2θ (°)	I_rel
10.1	132
36.6	1000
41.1	216
43.9	579
60.7	235
67.0	139

Structure:
Unit cell a=3.0524 b=3.0524 c=26.3249 alpha=90.00 beta=90.00 gamma=120.00
Fractional positions:
1 Mn 0.0000 0.0000 0.0000
2 Mn 0.3333 0.6667 0.6667
3 Mn 0.6667 0.3333 0.3333
4 Au 0.0000 0.0000 0.2560
5 Au 0.0000 0.0000 0.5000
6 Au 0.0000 0.0000 0.7440
7 Au 0.3333 0.6667 0.1667
8 Au 0.3333 0.6667 0.4107
9 Au 0.3333 0.6667 0.9227
10 Au 0.6667 0.3333 0.0773
11 Au 0.6667 0.3333 0.5893
12 Au 0.6667 0.3333 0.8333

=====

Record 6
Calculated X-ray diffraction stick pattern
Compound: MnAu3
Radiation: Cu Kα X-rays
Structure: a GGA-PBE-relaxed structure
No peak broadening, texture or thermal motion is included.

The 6 most intense peaks (2θ = 5–70°), in order of rising 2θ:
2θ (°)	I_rel
21.8	141
31.0	123
38.2	1000
44.4	492
50.0	70
64.6	324

Structure:
Unit cell a=4.0813 b=4.0813 c=4.0813 alpha=90.00 beta=90.00 gamma=90.00
Fractional positions:
1 Mn 0.0000 0.0000 0.0000
2 Au 0.0000 0.5000 0.5000
3 Au 0.5000 0.0000 0.5000
4 Au 0.5000 0.5000 0.0000

=====

Record 7
Calculated X-ray diffraction stick pattern
Compound: MnAu3
Radiation: Cu Kα X-rays
Structure: a GGA-PBE-relaxed structure
No peak broadening, texture or thermal motion is included.

The 6 most intense peaks (2θ = 5–70°), in order of rising 2θ:
2θ (°)	I_rel
25.7	167
35.5	237
37.9	267
40.4	1000
52.9	153
63.8	174

Structure:
Unit cell a=5.8330 b=5.8330 c=4.7538 alpha=90.00 beta=90.00 gamma=120.00
Fractional positions:
1 Mn 0.3333 0.6667 0.2500
2 Mn 0.6667 0.3333 0.7500
3 Au 0.1694 0.3387 0.7500
4 Au 0.1694 0.8306 0.7500
5 Au 0.3387 0.1694 0.2500
6 Au 0.6613 0.8306 0.7500
7 Au 0.8306 0.1694 0.2500
8 Au 0.8306 0.6613 0.2500

=====

Record 8
Calculated X-ray diffraction stick pattern
Compound: Mn9Au31
Radiation: Cu Kα X-rays
Structure: a GGA-PBE-relaxed structure
No peak broadening, texture or thermal motion is included.

The 6 most intense peaks (2θ = 5–70°), in order of rising 2θ:
2θ (°)	I_rel
27.0	49
38.3	1000
44.3	332
45.1	159
64.4	109
65.0	213

Structure:
Unit cell a=12.9363 b=12.9363 c=4.0227 alpha=90.00 beta=90.00 gamma=90.00
Fractional positions:
1 Mn 0.0000 0.0000 0.0000
2 Mn 0.0503 0.6497 0.5000
3 Mn 0.2976 0.3980 0.0000
4 Mn 0.3503 0.0503 0.5000
5 Mn 0.3980 0.7024 0.0000
6 Mn 0.6020 0.2976 0.0000
7 Mn 0.6497 0.9497 0.5000
8 Mn 0.7024 0.6020 0.0000
9 Mn 0.9497 0.3503 0.5000
10 Au 0.0000 0.5000 0.0000
11 Au 0.0463 0.1483 0.5000
12 Au 0.0977 0.7971 0.0000
13 Au 0.0986 0.3027 0.0000
14 Au 0.1483 0.9537 0.5000
15 Au 0.1501 0.4498 0.5000
16 Au 0.1998 0.5998 0.0000
17 Au 0.2029 0.0977 0.0000
18 Au 0.2526 0.7462 0.5000
19 Au 0.2538 0.2526 0.5000
20 Au 0.3027 0.9014 0.0000
21 Au 0.3502 0.5470 0.5000
22 Au 0.4002 0.1998 0.0000
23 Au 0.4498 0.8499 0.5000
24 Au 0.4530 0.3502 0.5000
25 Au 0.5000 0.0000 0.0000
26 Au 0.5000 0.5000 0.0000
27 Au 0.5470 0.6498 0.5000
28 Au 0.5502 0.1501 0.5000
29 Au 0.5998 0.8002 0.0000
30 Au 0.6498 0.4530 0.5000
31 Au 0.6973 0.0986 0.0000
32 Au 0.7462 0.7474 0.5000
33 Au 0.7474 0.2538 0.5000
34 Au 0.7971 0.9023 0.0000
35 Au 0.8002 0.4002 0.0000
36 Au 0.8499 0.5502 0.5000
37 Au 0.8517 0.0463 0.5000
38 Au 0.9014 0.6973 0.0000
39 Au 0.9023 0.2029 0.0000
40 Au 0.9537 0.8517 0.5000

=====

Record 9
Calculated X-ray diffraction stick pattern
Compound: Mn2Au5
Radiation: Cu Kα X-rays
Structure: a GGA-PBE-relaxed structure
No peak broadening, texture or thermal motion is included.

The 6 most intense peaks (2θ = 5–70°), in order of rising 2θ:
2θ (°)	I_rel
37.8	1000
38.3	958
43.1	345
43.4	336
46.1	286
64.9	205

Structure:
Unit cell a=9.2993 b=3.9381 c=6.6350 alpha=90.00 beta=97.03 gamma=90.00
Fractional positions:
1 Mn 0.0758 0.0000 0.2187
2 Mn 0.4242 0.5000 0.7813
3 Mn 0.5758 0.5000 0.2187
4 Mn 0.9242 0.0000 0.7813
5 Au 0.0000 0.5000 0.5000
6 Au 0.1371 0.5000 0.9331
7 Au 0.2137 0.0000 0.6453
8 Au 0.2863 0.5000 0.3547
9 Au 0.3629 0.0000 0.0669
10 Au 0.5000 0.0000 0.5000
11 Au 0.6371 0.0000 0.9331
12 Au 0.7137 0.5000 0.6453
13 Au 0.7863 0.0000 0.3547
14 Au 0.8629 0.5000 0.0669

=====

Record 10
Calculated X-ray diffraction stick pattern
Compound: Mn3AuN
Radiation: Cu Kα X-rays
Structure: a GGA-PBE-relaxed structure
No peak broadening, texture or thermal motion is included.

The 6 most intense peaks (2θ = 5–70°), in order of rising 2θ:
2θ (°)	I_rel
23.3	397
33.1	518
40.9	1000
47.6	548
59.2	204
69.6	334

Structure:
Unit cell a=3.8230 b=3.8230 c=3.8230 alpha=90.00 beta=90.00 gamma=90.00
Fractional positions:
1 Mn 0.0000 0.0000 0.5000
2 Mn 0.0000 0.5000 0.0000
3 Mn 0.5000 0.0000 0.0000
4 Au 0.5000 0.5000 0.5000
5 N 0.0000 0.0000 0.0000

=====

Record 11
Calculated X-ray diffraction stick pattern
Compound: MnPd2Au
Radiation: Cu Kα X-rays
Structure: a GGA-PBE-relaxed structure
No peak broadening, texture or thermal motion is included.

The 6 most intense peaks (2θ = 5–70°), in order of rising 2θ:
2θ (°)	I_rel
24.2	216
28.0	8
40.1	1000
47.4	118
58.0	167
63.7	51

Structure:
Unit cell a=6.3646 b=6.3646 c=6.3646 alpha=90.00 beta=90.00 gamma=90.00
Fractional positions:
1 Mn 0.0000 0.0000 0.0000
2 Mn 0.0000 0.5000 0.5000
3 Mn 0.5000 0.0000 0.5000
4 Mn 0.5000 0.5000 0.0000
5 Pd 0.2500 0.2500 0.2500
6 Pd 0.2500 0.2500 0.7500
7 Pd 0.2500 0.7500 0.2500
8 Pd 0.2500 0.7500 0.7500
9 Pd 0.7500 0.2500 0.2500
10 Pd 0.7500 0.2500 0.7500
11 Pd 0.7500 0.7500 0.2500
12 Pd 0.7500 0.7500 0.7500
13 Au 0.0000 0.0000 0.5000
14 Au 0.0000 0.5000 0.0000
15 Au 0.5000 0.0000 0.0000
16 Au 0.5000 0.5000 0.5000

=====

Record 12
Calculated X-ray diffraction stick pattern
Compound: Y3MnAu5
Radiation: Cu Kα X-rays
Structure: a GGA-PBE-relaxed structure
No peak broadening, texture or thermal motion is included.

The 6 most intense peaks (2θ = 5–70°), in order of rising 2θ:
2θ (°)	I_rel
25.4	329
36.1	996
36.3	1000
37.6	202
52.1	229
65.2	177

Structure:
Unit cell a=7.8604 b=7.8604 c=7.8604 alpha=66.13 beta=66.13 gamma=66.13
Fractional positions:
1 Y 0.1093 0.8083 0.3791
2 Y 0.1917 0.6209 0.8907
3 Y 0.3791 0.1093 0.8083
4 Y 0.6209 0.8907 0.1917
5 Y 0.8083 0.3791 0.1093
6 Y 0.8907 0.1917 0.6209
7 Mn 0.3452 0.3452 0.3452
8 Mn 0.6548 0.6548 0.6548
9 Au 0.0000 0.0000 0.0000
10 Au 0.0586 0.4480 0.6828
11 Au 0.1979 0.1979 0.1979
12 Au 0.3172 0.9414 0.5520
13 Au 0.4480 0.6828 0.0586
14 Au 0.5000 0.5000 0.5000
15 Au 0.5520 0.3172 0.9414
16 Au 0.6828 0.0586 0.4480
17 Au 0.8021 0.8021 0.8021
18 Au 0.9414 0.5520 0.3172

=====

Record 13
Calculated X-ray diffraction stick pattern
Compound: MnZnAu2
Radiation: Cu Kα X-rays
Structure: a GGA-PBE-relaxed structure
No peak broadening, texture or thermal motion is included.

The 5 most intense peaks (2θ = 5–70°), in order of rising 2θ:
2θ (°)	I_rel
27.9	329
39.8	1000
49.3	99
57.6	169
65.2	135

Structure:
Unit cell a=6.4005 b=6.4005 c=6.4005 alpha=90.00 beta=90.00 gamma=90.00
Fractional positions:
1 Mn 0.0000 0.0000 0.0000
2 Mn 0.0000 0.5000 0.5000
3 Mn 0.5000 0.0000 0.5000
4 Mn 0.5000 0.5000 0.0000
5 Zn 0.0000 0.0000 0.5000
6 Zn 0.0000 0.5000 0.0000
7 Zn 0.5000 0.0000 0.0000
8 Zn 0.5000 0.5000 0.5000
9 Au 0.2500 0.2500 0.2500
10 Au 0.2500 0.2500 0.7500
11 Au 0.2500 0.7500 0.2500
12 Au 0.2500 0.7500 0.7500
13 Au 0.7500 0.2500 0.2500
14 Au 0.7500 0.2500 0.7500
15 Au 0.7500 0.7500 0.2500
16 Au 0.7500 0.7500 0.7500

=====

Record 14
Calculated X-ray diffraction stick pattern
Compound: AuN2
Radiation: Cu Kα X-rays
Structure: a GGA-PBE-relaxed structure
No peak broadening, texture or thermal motion is included.

The 6 most intense peaks (2θ = 5–70°), in order of rising 2θ:
2θ (°)	I_rel
27.4	1000
31.7	816
45.5	571
53.9	566
56.5	193
66.2	84

Structure:
Unit cell a=5.6440 b=5.6440 c=5.6440 alpha=90.00 beta=90.00 gamma=90.00
Fractional positions:
1 Au 0.0000 0.0000 0.0000
2 Au 0.0000 0.5000 0.5000
3 Au 0.5000 0.0000 0.5000
4 Au 0.5000 0.5000 0.0000
5 N 0.0602 0.5602 0.9398
6 N 0.0602 0.9398 0.4398
7 N 0.4398 0.0602 0.9398
8 N 0.4398 0.4398 0.4398
9 N 0.5602 0.5602 0.5602
10 N 0.5602 0.9398 0.0602
11 N 0.9398 0.0602 0.5602
12 N 0.9398 0.4398 0.0602